No. 1
Theoretical XRD peak list
Compound: NaVN2
Radiation: Cu Ka
Structure: a DFT-relaxed cell (PBE, the Materials Project)
Kinematic intensities with the Lorentz-polarization factor, no thermal factor.

Atomic structure:
Cell lengths 6.645, 6.645, 6.884 Å; angles 90.00, 90.00, 127.58 degrees
Sites, in units of the cell vectors:
Na (0.175, 0.825, 0.929)
Na (0.325, 0.675, 0.429)
Na (0.675, 0.325, 0.571)
Na (0.825, 0.175, 0.071)
V (0.070, 0.930, 0.356)
V (0.430, 0.570, 0.856)
V (0.570, 0.430, 0.144)
V (0.930, 0.070, 0.644)
N (0.082, 0.918, 0.617)
N (0.114, 0.386, 0.750)
N (0.386, 0.114, 0.250)
N (0.418, 0.582, 0.117)
N (0.582, 0.418, 0.883)
N (0.614, 0.886, 0.750)
N (0.886, 0.614, 0.250)
N (0.918, 0.082, 0.383)

Most intense lines, 10° ≤ 2θ ≤ 80°, sorted by position:
| two_theta | Rel. int. |
| --- | --- |
| 14.9 | 43 |
| 19.7 | 61 |
| 21.2 | 100 |
| 30.1 | 46 |
| 30.5 | 69 |
| 31.0 | 45 |
| 32.7 | 28 |
| 37.8 | 26 |
| 43.0 | 77 |
| 45.3 | 31 |

***

No. 2
Theoretical XRD peak list
Compound: Na3V6N11
Radiation: Cu Ka
Structure: a DFT-relaxed cell (PBE, the Materials Project)
Kinematic intensities with the Lorentz-polarization factor, no thermal factor.

Atomic structure:
Cell lengths 10.569, 10.569, 5.179 Å; angles 90.00, 90.00, 90.00 degrees
Sites, in units of the cell vectors:
Na (0.000, 0.000, 0.000)
Na (0.176, 0.324, 0.996)
Na (0.324, 0.824, 0.996)
Na (0.500, 0.500, 0.000)
Na (0.676, 0.176, 0.996)
Na (0.824, 0.676, 0.996)
V (0.075, 0.788, 0.544)
V (0.119, 0.619, 0.063)
V (0.212, 0.075, 0.544)
V (0.288, 0.575, 0.544)
V (0.381, 0.119, 0.063)
V (0.425, 0.288, 0.544)
V (0.575, 0.712, 0.544)
V (0.619, 0.881, 0.063)
V (0.712, 0.425, 0.544)
V (0.788, 0.925, 0.544)
V (0.881, 0.381, 0.063)
V (0.925, 0.212, 0.544)
N (0.000, 0.500, 0.097)
N (0.072, 0.767, 0.199)
N (0.083, 0.176, 0.635)
N (0.145, 0.645, 0.708)
N (0.176, 0.917, 0.635)
N (0.233, 0.072, 0.199)
N (0.267, 0.572, 0.199)
N (0.324, 0.417, 0.635)
N (0.355, 0.145, 0.708)
N (0.417, 0.676, 0.635)
N (0.428, 0.267, 0.199)
N (0.500, 0.000, 0.097)
N (0.572, 0.733, 0.199)
N (0.583, 0.324, 0.635)
N (0.645, 0.855, 0.708)
N (0.676, 0.583, 0.635)
N (0.733, 0.428, 0.199)
N (0.767, 0.928, 0.199)
N (0.824, 0.083, 0.635)
N (0.855, 0.355, 0.708)
N (0.917, 0.824, 0.635)
N (0.928, 0.233, 0.199)

Most intense lines, 10° ≤ 2θ ≤ 80°, sorted by position:
| two_theta | Rel. int. |
| --- | --- |
| 18.8 | 100 |
| 20.9 | 57 |
| 23.8 | 17 |
| 29.5 | 48 |
| 31.9 | 64 |
| 34.6 | 46 |
| 35.0 | 35 |
| 35.2 | 58 |
| 50.1 | 21 |
| 62.4 | 18 |

***

Please write out number 2 again, unchanged.
Theoretical XRD peak list
Compound: Na3V6N11
Radiation: Cu Ka
Structure: a DFT-relaxed cell (PBE, the Materials Project)
Kinematic intensities with the Lorentz-polarization factor, no thermal factor.

Atomic structure:
Cell lengths 10.569, 10.569, 5.179 Å; angles 90.00, 90.00, 90.00 degrees
Sites, in units of the cell vectors:
Na (0.000, 0.000, 0.000)
Na (0.176, 0.324, 0.996)
Na (0.324, 0.824, 0.996)
Na (0.500, 0.500, 0.000)
Na (0.676, 0.176, 0.996)
Na (0.824, 0.676, 0.996)
V (0.075, 0.788, 0.544)
V (0.119, 0.619, 0.063)
V (0.212, 0.075, 0.544)
V (0.288, 0.575, 0.544)
V (0.381, 0.119, 0.063)
V (0.425, 0.288, 0.544)
V (0.575, 0.712, 0.544)
V (0.619, 0.881, 0.063)
V (0.712, 0.425, 0.544)
V (0.788, 0.925, 0.544)
V (0.881, 0.381, 0.063)
V (0.925, 0.212, 0.544)
N (0.000, 0.500, 0.097)
N (0.072, 0.767, 0.199)
N (0.083, 0.176, 0.635)
N (0.145, 0.645, 0.708)
N (0.176, 0.917, 0.635)
N (0.233, 0.072, 0.199)
N (0.267, 0.572, 0.199)
N (0.324, 0.417, 0.635)
N (0.355, 0.145, 0.708)
N (0.417, 0.676, 0.635)
N (0.428, 0.267, 0.199)
N (0.500, 0.000, 0.097)
N (0.572, 0.733, 0.199)
N (0.583, 0.324, 0.635)
N (0.645, 0.855, 0.708)
N (0.676, 0.583, 0.635)
N (0.733, 0.428, 0.199)
N (0.767, 0.928, 0.199)
N (0.824, 0.083, 0.635)
N (0.855, 0.355, 0.708)
N (0.917, 0.824, 0.635)
N (0.928, 0.233, 0.199)

Most intense lines, 10° ≤ 2θ ≤ 80°, sorted by position:
| two_theta | Rel. int. |
| --- | --- |
| 18.8 | 100 |
| 20.9 | 57 |
| 23.8 | 17 |
| 29.5 | 48 |
| 31.9 | 64 |
| 34.6 | 46 |
| 35.0 | 35 |
| 35.2 | 58 |
| 50.1 | 21 |
| 62.4 | 18 |